Entry 1:
For MoCl5, a PBE-relaxed structure gives the theoretical powder diffraction line list in this record (λ = 1.5418 Å (Cu Kα)).

The 10 most intense peaks (15° ≤ 2θ ≤ 90°), low angle first:
2theta  d/Å  I (rel.)
15.88  5.580  100
17.25  5.140  14
19.44  4.565  11
20.51  4.330  13
30.77  2.906  10
31.20  2.867  22
31.32  2.856  20
34.78  2.579  14
35.16  2.552  11
35.27  2.545  13

Crystal structure
Lattice parameters (Å, degrees): 9.812 12.524 13.122 90.00 109.84 90.00
Element x y z (fractional)
Mo: 0.121 0.125 0.315
Mo: 0.121 0.375 0.815
Mo: 0.304 0.622 0.295
Mo: 0.304 0.878 0.795
Mo: 0.696 0.122 0.205
Mo: 0.696 0.378 0.705
Mo: 0.879 0.625 0.185
Mo: 0.879 0.875 0.685
Cl: 0.091 0.519 0.167
Cl: 0.091 0.981 0.667
Cl: 0.092 0.728 0.313
Cl: 0.092 0.772 0.813
Cl: 0.094 0.232 0.448
Cl: 0.094 0.268 0.948
Cl: 0.097 0.018 0.168
Cl: 0.097 0.482 0.668
Cl: 0.275 0.516 0.428
Cl: 0.275 0.984 0.928
Cl: 0.281 0.730 0.149
Cl: 0.281 0.770 0.649
Cl: 0.282 0.014 0.433
Cl: 0.282 0.236 0.279
Cl: 0.282 0.264 0.779
Cl: 0.282 0.486 0.933
Cl: 0.464 0.510 0.260
Cl: 0.464 0.990 0.760
Cl: 0.466 0.732 0.413
Cl: 0.466 0.768 0.913
Cl: 0.534 0.232 0.087
Cl: 0.534 0.268 0.587
Cl: 0.536 0.010 0.240
Cl: 0.536 0.490 0.740
Cl: 0.718 0.514 0.067
Cl: 0.718 0.736 0.221
Cl: 0.718 0.764 0.721
Cl: 0.718 0.986 0.567
Cl: 0.719 0.230 0.351
Cl: 0.719 0.270 0.851
Cl: 0.725 0.016 0.072
Cl: 0.725 0.484 0.572
Cl: 0.903 0.518 0.332
Cl: 0.903 0.982 0.832
Cl: 0.906 0.732 0.052
Cl: 0.906 0.768 0.552
Cl: 0.908 0.228 0.187
Cl: 0.908 0.272 0.687
Cl: 0.909 0.019 0.333
Cl: 0.909 0.481 0.833



Entry 2:
For MoCl4, a PBE-relaxed structure gives the theoretical powder diffraction line list in this record (λ = 1.5418 Å (Cu Kα)).

The 10 most intense peaks (15° ≤ 2θ ≤ 90°), low angle first:
2theta  d/Å  I (rel.)
16.06  5.520  49
19.41  4.572  21
21.03  4.224  36
21.29  4.173  15
31.20  2.867  100
39.42  2.286  69
49.54  1.840  29
50.62  1.803  31
51.58  1.772  18
65.07  1.433  13

Crystal structure
Lattice parameters (Å, degrees): 12.749 12.749 6.561 90.00 90.00 120.00
Element x y z (fractional)
Mo: 0.170 0.340 0.000
Mo: 0.170 0.830 0.000
Mo: 0.340 0.170 0.000
Mo: 0.660 0.830 0.000
Mo: 0.830 0.170 0.000
Mo: 0.830 0.660 0.000
Cl: 0.000 0.169 0.809
Cl: 0.000 0.324 0.203
Cl: 0.000 0.676 0.797
Cl: 0.000 0.831 0.191
Cl: 0.169 0.000 0.809
Cl: 0.169 0.169 0.191
Cl: 0.169 0.473 0.772
Cl: 0.169 0.695 0.228
Cl: 0.305 0.473 0.228
Cl: 0.305 0.831 0.772
Cl: 0.324 0.000 0.203
Cl: 0.324 0.324 0.797
Cl: 0.473 0.169 0.772
Cl: 0.473 0.305 0.228
Cl: 0.527 0.695 0.772
Cl: 0.527 0.831 0.228
Cl: 0.676 0.000 0.797
Cl: 0.676 0.676 0.203
Cl: 0.695 0.169 0.228
Cl: 0.695 0.527 0.772
Cl: 0.831 0.000 0.191
Cl: 0.831 0.305 0.772
Cl: 0.831 0.527 0.228
Cl: 0.831 0.831 0.809



Entry 3:
For MoCl5, a PBE-relaxed structure gives the theoretical powder diffraction line list in this record (λ = 1.5418 Å (Cu Kα)).

The 10 most intense peaks (15° ≤ 2θ ≤ 90°), low angle first:
2theta  d/Å  I (rel.)
15.04  5.891  100
15.31  5.787  53
16.04  5.524  49
19.17  4.629  29
19.72  4.502  22
30.90  2.894  20
31.27  2.861  49
35.29  2.544  43
46.13  1.968  20
48.45  1.879  28

Crystal structure
Lattice parameters (Å, degrees): 12.428 18.517 6.540 90.00 90.00 90.00
Element x y z (fractional)
Mo: 0.124 0.144 0.093
Mo: 0.124 0.356 0.093
Mo: 0.376 0.644 0.593
Mo: 0.376 0.856 0.593
Mo: 0.624 0.144 0.407
Mo: 0.624 0.356 0.407
Mo: 0.876 0.644 0.907
Mo: 0.876 0.856 0.907
Cl: 0.013 0.157 0.815
Cl: 0.013 0.343 0.815
Cl: 0.014 0.064 0.250
Cl: 0.014 0.436 0.250
Cl: 0.020 0.250 0.241
Cl: 0.228 0.250 0.945
Cl: 0.233 0.157 0.372
Cl: 0.233 0.343 0.372
Cl: 0.234 0.064 0.934
Cl: 0.234 0.436 0.934
Cl: 0.266 0.564 0.434
Cl: 0.266 0.936 0.434
Cl: 0.267 0.657 0.872
Cl: 0.267 0.843 0.872
Cl: 0.272 0.750 0.445
Cl: 0.480 0.750 0.741
Cl: 0.486 0.564 0.750
Cl: 0.486 0.936 0.750
Cl: 0.487 0.657 0.315
Cl: 0.487 0.843 0.315
Cl: 0.513 0.157 0.685
Cl: 0.513 0.343 0.685
Cl: 0.514 0.064 0.250
Cl: 0.514 0.436 0.250
Cl: 0.520 0.250 0.259
Cl: 0.728 0.250 0.555
Cl: 0.733 0.157 0.128
Cl: 0.733 0.343 0.128
Cl: 0.734 0.064 0.566
Cl: 0.734 0.436 0.566
Cl: 0.766 0.564 0.066
Cl: 0.766 0.936 0.066
Cl: 0.767 0.657 0.628
Cl: 0.767 0.843 0.628
Cl: 0.772 0.750 0.055
Cl: 0.980 0.750 0.759
Cl: 0.986 0.564 0.750
Cl: 0.986 0.936 0.750
Cl: 0.987 0.657 0.185
Cl: 0.987 0.843 0.185



Entry 4:
For MoCl4, a PBE-relaxed structure gives the theoretical powder diffraction line list in this record (λ = 1.5418 Å (Cu Kα)).

The 10 most intense peaks (15° ≤ 2θ ≤ 90°), low angle first:
2theta  d/Å  I (rel.)
15.65  5.662  28
16.81  5.274  100
21.08  4.214  22
26.36  3.380  67
27.98  3.189  13
34.57  2.594  16
41.48  2.177  19
42.92  2.107  13
44.13  2.052  26
51.08  1.788  14

Crystal structure
Lattice parameters (Å, degrees): 7.058 7.058 7.058 130.06 130.06 73.32
Element x y z (fractional)
Mo: 0.000 0.000 0.000
Cl: 0.102 0.668 0.000
Cl: 0.332 0.332 0.434
Cl: 0.668 0.102 0.000
Cl: 0.898 0.898 0.566



Entry 5:
For Mo3NCl7, a PBE-relaxed structure gives the theoretical powder diffraction line list in this record (λ = 1.5418 Å (Cu Kα)).

The 10 most intense peaks (15° ≤ 2θ ≤ 90°), low angle first:
2theta  d/Å  I (rel.)
15.56  5.694  17
16.90  5.247  61
20.40  4.353  23
25.21  3.532  30
34.18  2.623  100
41.48  2.177  71
42.54  2.125  25
46.79  1.941  18
51.72  1.767  23
55.95  1.643  17

Crystal structure
Lattice parameters (Å, degrees): 6.574 6.574 8.825 123.85 123.85 59.99
Element x y z (fractional)
Mo: 0.000 0.000 0.000
Mo: 0.000 0.391 0.000
Mo: 0.391 0.000 0.000
N: 0.231 0.231 0.203
Cl: 0.167 0.167 0.749
Cl: 0.167 0.680 0.749
Cl: 0.234 0.730 0.203
Cl: 0.680 0.167 0.749
Cl: 0.705 0.705 0.816
Cl: 0.729 0.729 0.202
Cl: 0.730 0.234 0.203



Entry 6:
For MoS2N2Cl5, a PBE-relaxed structure gives the theoretical powder diffraction line list in this record (λ = 1.5418 Å (Cu Kα)).

The 10 most intense peaks (15° ≤ 2θ ≤ 90°), low angle first:
2theta  d/Å  I (rel.)
16.13  5.495  100
16.44  5.391  16
17.38  5.103  12
17.99  4.930  12
19.26  4.609  12
25.48  3.496  47
26.04  3.422  46
27.45  3.249  13
32.08  2.790  21
40.71  2.216  12

Crystal structure
Lattice parameters (Å, degrees): 7.624 7.681 10.324 76.19 78.40 83.70
Element x y z (fractional)
Mo: 0.169 0.166 0.234
Mo: 0.831 0.834 0.766
S: 0.047 0.408 0.917
S: 0.353 0.826 0.445
S: 0.647 0.174 0.555
S: 0.953 0.592 0.083
N: 0.054 0.390 0.079
N: 0.264 0.987 0.350
N: 0.736 0.013 0.650
N: 0.946 0.610 0.921
Cl: 0.054 0.375 0.365
Cl: 0.119 0.953 0.711
Cl: 0.230 0.047 0.041
Cl: 0.438 0.315 0.161
Cl: 0.455 0.648 0.323
Cl: 0.545 0.352 0.677
Cl: 0.562 0.685 0.839
Cl: 0.770 0.953 0.959
Cl: 0.881 0.047 0.289
Cl: 0.946 0.625 0.635



Entry 7:
For Na2MoCl6, a PBE-relaxed structure gives the theoretical powder diffraction line list in this record (λ = 1.5418 Å (Cu Kα)).

The 10 most intense peaks (15° ≤ 2θ ≤ 90°), low angle first:
2theta  d/Å  I (rel.)
15.47  5.727  100
16.60  5.339  28
18.22  4.870  34
29.68  3.010  25
30.24  2.955  30
31.51  2.839  28
36.91  2.435  22
40.48  2.229  16
40.60  2.222  13
45.09  2.011  13

Crystal structure
Lattice parameters (Å, degrees): 6.737 7.065 11.432 90.00 121.50 90.00
Element x y z (fractional)
Na: 0.182 0.102 0.221
Na: 0.182 0.398 0.721
Na: 0.818 0.602 0.279
Na: 0.818 0.898 0.779
Mo: 0.500 0.000 0.000
Mo: 0.500 0.500 0.500
Cl: 0.154 0.182 0.941
Cl: 0.154 0.318 0.441
Cl: 0.274 0.716 0.932
Cl: 0.274 0.784 0.432
Cl: 0.417 0.042 0.771
Cl: 0.417 0.458 0.271
Cl: 0.583 0.542 0.729
Cl: 0.583 0.958 0.229
Cl: 0.726 0.216 0.568
Cl: 0.726 0.284 0.068
Cl: 0.846 0.682 0.559
Cl: 0.846 0.818 0.059



Please write out number 6 again, unchanged.
For MoS2N2Cl5, a PBE-relaxed structure gives the theoretical powder diffraction line list in this record (λ = 1.5418 Å (Cu Kα)).

The 10 most intense peaks (15° ≤ 2θ ≤ 90°), low angle first:
2theta  d/Å  I (rel.)
16.13  5.495  100
16.44  5.391  16
17.38  5.103  12
17.99  4.930  12
19.26  4.609  12
25.48  3.496  47
26.04  3.422  46
27.45  3.249  13
32.08  2.790  21
40.71  2.216  12

Crystal structure
Lattice parameters (Å, degrees): 7.624 7.681 10.324 76.19 78.40 83.70
Element x y z (fractional)
Mo: 0.169 0.166 0.234
Mo: 0.831 0.834 0.766
S: 0.047 0.408 0.917
S: 0.353 0.826 0.445
S: 0.647 0.174 0.555
S: 0.953 0.592 0.083
N: 0.054 0.390 0.079
N: 0.264 0.987 0.350
N: 0.736 0.013 0.650
N: 0.946 0.610 0.921
Cl: 0.054 0.375 0.365
Cl: 0.119 0.953 0.711
Cl: 0.230 0.047 0.041
Cl: 0.438 0.315 0.161
Cl: 0.455 0.648 0.323
Cl: 0.545 0.352 0.677
Cl: 0.562 0.685 0.839
Cl: 0.770 0.953 0.959
Cl: 0.881 0.047 0.289
Cl: 0.946 0.625 0.635